Diffraction record for PrHoSc. The PXRD pattern is theoretical, not measured: it uses the GGA-PBE geometry in Alexandria and Cu Kα.
Peak positions follow from Bragg's law for the DFT cell and can differ from measured ones.

Cell and atoms:
Unit cell a=3.553 b=3.553 c=14.502 alpha=90.00 beta=90.00 gamma=90.00
Atoms (fractional coordinates):
Pr  0.250  0.250  0.095
Pr  0.750  0.750  0.905
Ho  0.250  0.250  0.725
Ho  0.750  0.750  0.275
Sc  0.250  0.250  0.431
Sc  0.750  0.750  0.569

Principal peaks in the range 10° ≤ 2θ ≤ 90°, in order of rising 2θ:
2theta	d_spacing	Rel. int.
28.0	3.191	27
31.2	2.863	100
35.7	2.513	40
47.9	1.899	15
52.5	1.742	15
61.4	1.510	28